# 1
Starting from a crystal structure in Alexandria, relaxed with PBE, the powder diffraction line list of CePa2Ge3 was simulated for Cu Ka.

Most intense lines, 5° ≤ 2θ ≤ 70°, sorted by position:
(hkl)  2θ/deg  I/Imax
0 1 1  12.77  2.0
1 0 2  26.20  37.7
2 0 0  30.34  100.0
2 3 2  43.44  75.7
1 3 4  51.44  19.2
2 6 0  53.91  26.9
4 0 0  63.12  12.5
1 0 6  69.55  8.1

Atomic structure:
Unit cell a=5.8894 b=12.4958 c=8.3365 alpha=90.00 beta=90.00 gamma=90.00
Space group P2_1/c (No. 14)
One atom of each set of equivalent atoms:
1 Ce 0.2504 0.0817 0.1254 (multiplicity 4)
2 Pa 0.2492 0.7478 0.6246 (multiplicity 4)
3 Pa 0.2504 0.0839 0.6238 (multiplicity 4)
4 Ge 0.2496 0.5856 0.3688 (multiplicity 4)
5 Ge 0.2496 0.5860 0.8795 (multiplicity 4)
6 Ge 0.2508 0.2490 0.8746 (multiplicity 4)



# 2
Starting from a crystal structure in Alexandria, relaxed with PBE, the powder diffraction line list of Ce4Tl2Cd3 was simulated for Cu Ka.

Most intense lines, 5° ≤ 2θ ≤ 70°, sorted by position:
(hkl)  2θ/deg  I/Imax
3 1 0  32.23  100.0
1 1 -3  33.24  94.0
2 0 3  37.17  35.3
0 2 0  37.66  35.1
4 0 -3  39.10  25.9
2 2 3  53.95  24.0
4 2 -3  55.41  18.7
1 3 -3  65.16  26.0

Atomic structure:
Unit cell a=10.6084 b=4.7765 c=9.8063 alpha=90.00 beta=105.13 gamma=90.00
Space group C2/m (No. 12)
One atom of each set of equivalent atoms:
1 Ce 0.0152 0.0000 0.1525 (multiplicity 4)
2 Ce 0.1780 0.5000 0.3967 (multiplicity 4)
3 Tl 0.1502 0.5000 0.7227 (multiplicity 4)
4 Cd 0.0000 0.0000 0.5000 (multiplicity 2)
5 Cd 0.1791 0.5000 0.0450 (multiplicity 4)



# 3
Starting from a crystal structure in Alexandria, relaxed with PBE, the powder diffraction line list of Tb4HfAl15 was simulated for Cu Ka.

Most intense lines, 5° ≤ 2θ ≤ 70°, sorted by position:
(hkl)  2θ/deg  I/Imax
1 0 4  19.62  56.7
1 0 7  24.26  80.1
0 1 8  26.12  73.5
1 1 0  29.57  100.0
0 0 15  37.47  56.4
0 2 7  38.61  70.0
2 0 8  39.85  75.7
1 1 15  48.44  51.2

Atomic structure:
Unit cell a=6.0427 b=6.0427 c=36.0022 alpha=90.00 beta=90.00 gamma=120.00
Space group R-3m (No. 166, hexagonal axes)
One atom of each set of equivalent atoms:
1 Tb 0.0000 0.0000 0.1002 (multiplicity 6)
2 Tb 0.0000 0.0000 0.3691 (multiplicity 6)
3 Hf 0.0000 0.0000 0.5000 (multiplicity 3)
4 Al 0.0000 0.5000 0.5000 (multiplicity 9)
5 Al 0.0033 0.5016 0.3665 (multiplicity 18)
6 Al 0.0281 0.5141 0.8975 (multiplicity 18)